1.
Tm6Pt2S: theoretical powder diffractogram (λ = 1.5418 Å (Cu Kα)), based on a structure optimized by DFT (PBE).
Lines closer than 0.1° are merged.

Largest 12 diffraction maxima, sorted by position, 2θ = 15–90°:
| 2θ (°) | I/Imax |
| --- | --- |
| 29.86 | 77 |
| 30.66 | 36 |
| 31.00 | 67 |
| 31.28 | 67 |
| 31.53 | 90 |
| 32.45 | 100 |
| 33.65 | 59 |
| 33.78 | 56 |
| 34.53 | 32 |
| 37.23 | 61 |
| 40.59 | 45 |
| 55.88 | 38 |

a = 6.405 Å, b = 7.112 Å, c = 11.467 Å
α = 90.00°, β = 120.58°, γ = 90.00°
Sites, in units of the cell vectors:
Tm 0.096 0.189 0.434
Tm 0.096 0.311 0.934
Tm 0.252 0.669 0.428
Tm 0.252 0.831 0.928
Tm 0.392 0.037 0.244
Tm 0.392 0.463 0.744
Tm 0.608 0.537 0.256
Tm 0.608 0.963 0.756
Tm 0.748 0.169 0.072
Tm 0.748 0.331 0.572
Tm 0.904 0.689 0.066
Tm 0.904 0.811 0.566
Pt 0.179 0.114 0.735
Pt 0.179 0.386 0.235
Pt 0.821 0.614 0.765
Pt 0.821 0.886 0.265
S 0.500 0.000 0.500
S 0.500 0.500 0.000

***

2.
UPtS3: theoretical powder diffractogram (λ = 1.5418 Å (Cu Kα)), based on a structure optimized by DFT (PBE).
Lines closer than 0.1° are merged.

Largest 12 diffraction maxima, sorted by position, 2θ = 15–90°:
| 2θ (°) | I/Imax |
| --- | --- |
| 17.07 | 17 |
| 22.30 | 34 |
| 25.91 | 36 |
| 26.91 | 100 |
| 28.31 | 51 |
| 36.20 | 17 |
| 38.21 | 34 |
| 40.62 | 29 |
| 42.11 | 36 |
| 42.22 | 27 |
| 46.90 | 21 |
| 48.14 | 18 |

a = 7.117 Å, b = 7.117 Å, c = 7.972 Å
α = 90.24°, β = 90.24°, γ = 30.80°
Sites, in units of the cell vectors:
U 0.215 0.215 0.272
U 0.785 0.785 0.728
Pt 0.430 0.430 0.151
Pt 0.570 0.570 0.849
S 0.018 0.018 0.250
S 0.172 0.172 0.921
S 0.347 0.347 0.526
S 0.653 0.653 0.474
S 0.828 0.828 0.079
S 0.982 0.982 0.750

***

3.
VPt3S: theoretical powder diffractogram (λ = 1.5418 Å (Cu Kα)), based on a structure optimized by DFT (PBE).
Lines closer than 0.1° are merged.

Largest 12 diffraction maxima, sorted by position, 2θ = 15–90°:
| 2θ (°) | I/Imax |
| --- | --- |
| 19.75 | 26 |
| 28.07 | 8 |
| 34.55 | 100 |
| 40.11 | 62 |
| 45.09 | 13 |
| 49.67 | 4 |
| 58.02 | 42 |
| 61.92 | 6 |
| 69.32 | 41 |
| 72.88 | 14 |
| 86.61 | 7 |
| 89.98 | 4 |

a = 4.496 Å, b = 4.496 Å, c = 4.496 Å
α = 90.00°, β = 90.00°, γ = 90.00°
Sites, in units of the cell vectors:
V 0.000 0.000 0.000
Pt 0.000 0.500 0.500
Pt 0.500 0.000 0.500
Pt 0.500 0.500 0.000
S 0.500 0.500 0.500

***

4.
Y6Pt2S: theoretical powder diffractogram (λ = 1.5418 Å (Cu Kα)), based on a structure optimized by DFT (PBE).
Lines closer than 0.1° are merged.

Largest 12 diffraction maxima, sorted by position, 2θ = 15–90°:
| 2θ (°) | I/Imax |
| --- | --- |
| 17.62 | 53 |
| 18.29 | 49 |
| 20.63 | 34 |
| 30.51 | 72 |
| 30.89 | 76 |
| 31.70 | 35 |
| 31.85 | 55 |
| 33.06 | 100 |
| 35.69 | 46 |
| 36.56 | 64 |
| 39.91 | 36 |
| 41.09 | 34 |

a = 6.554 Å, b = 7.220 Å, c = 11.742 Å
α = 90.00°, β = 120.98°, γ = 90.00°
Sites, in units of the cell vectors:
Y 0.097 0.187 0.432
Y 0.097 0.313 0.932
Y 0.251 0.671 0.428
Y 0.251 0.829 0.928
Y 0.395 0.039 0.246
Y 0.395 0.461 0.746
Y 0.605 0.539 0.254
Y 0.605 0.961 0.754
Y 0.749 0.171 0.072
Y 0.749 0.329 0.572
Y 0.903 0.687 0.068
Y 0.903 0.813 0.568
Pt 0.180 0.113 0.736
Pt 0.180 0.387 0.236
Pt 0.820 0.613 0.764
Pt 0.820 0.887 0.264
S 0.500 0.000 0.500
S 0.500 0.500 0.000

***

5.
SbPt2: theoretical powder diffractogram (λ = 1.5418 Å (Cu Kα)), based on a structure optimized by DFT (PBE).
Lines closer than 0.1° are merged.

Largest 12 diffraction maxima, sorted by position, 2θ = 15–90°:
| 2θ (°) | I/Imax |
| --- | --- |
| 22.69 | 4 |
| 37.41 | 100 |
| 40.16 | 17 |
| 44.22 | 17 |
| 45.89 | 15 |
| 61.25 | 10 |
| 62.59 | 10 |
| 65.62 | 10 |
| 71.16 | 10 |
| 76.84 | 13 |
| 79.25 | 12 |
| 79.80 | 10 |

a = 7.041 Å, b = 7.041 Å, c = 3.955 Å
α = 90.00°, β = 90.00°, γ = 146.18°
Sites, in units of the cell vectors:
Sb 0.107 0.893 0.750
Sb 0.893 0.107 0.250
Pt 0.249 0.751 0.250
Pt 0.424 0.576 0.750
Pt 0.576 0.424 0.250
Pt 0.751 0.249 0.750

***

6.
Sb2Pt3: theoretical powder diffractogram (λ = 1.5418 Å (Cu Kα)), based on a structure optimized by DFT (PBE).
Lines closer than 0.1° are merged.

Largest 12 diffraction maxima, sorted by position, 2θ = 15–90°:
| 2θ (°) | I/Imax |
| --- | --- |
| 18.76 | 37 |
| 31.32 | 100 |
| 32.61 | 18 |
| 33.37 | 52 |
| 38.06 | 39 |
| 41.27 | 57 |
| 42.45 | 21 |
| 46.64 | 18 |
| 46.93 | 47 |
| 47.77 | 18 |
| 50.08 | 33 |
| 57.87 | 22 |

a = 6.634 Å, b = 6.634 Å, c = 6.634 Å
α = 61.12°, β = 61.12°, γ = 61.12°
Sites, in units of the cell vectors:
Sb 0.111 0.111 0.111
Sb 0.389 0.389 0.389
Sb 0.611 0.611 0.611
Sb 0.889 0.889 0.889
Pt 0.008 0.250 0.492
Pt 0.250 0.492 0.008
Pt 0.492 0.008 0.250
Pt 0.508 0.992 0.750
Pt 0.750 0.508 0.992
Pt 0.992 0.750 0.508

***

7.
SbPt2: theoretical powder diffractogram (λ = 1.5418 Å (Cu Kα)), based on a structure optimized by DFT (PBE).
Lines closer than 0.1° are merged.

Largest 12 diffraction maxima, sorted by position, 2θ = 15–90°:
| 2θ (°) | I/Imax |
| --- | --- |
| 20.10 | 2 |
| 26.27 | 3 |
| 33.30 | 100 |
| 46.35 | 39 |
| 49.22 | 33 |
| 58.26 | 20 |
| 63.13 | 5 |
| 69.92 | 12 |
| 77.51 | 18 |
| 81.83 | 15 |
| 85.95 | 7 |
| 88.08 | 13 |

a = 3.918 Å, b = 3.918 Å, c = 4.418 Å
α = 90.00°, β = 90.00°, γ = 120.00°
Sites, in units of the cell vectors:
Sb 0.000 0.000 0.000
Pt 0.333 0.667 0.330
Pt 0.667 0.333 0.670

***

8.
Sb7Pt: theoretical powder diffractogram (λ = 1.5418 Å (Cu Kα)), based on a structure optimized by DFT (PBE).
Lines closer than 0.1° are merged.

Largest 12 diffraction maxima, sorted by position, 2θ = 15–90°:
| 2θ (°) | I/Imax |
| --- | --- |
| 16.42 | 2 |
| 18.98 | 1 |
| 26.97 | 1 |
| 31.74 | 2 |
| 33.19 | 100 |
| 38.51 | 50 |
| 42.12 | 1 |
| 43.27 | 1 |
| 55.60 | 34 |
| 66.31 | 40 |
| 69.67 | 11 |
| 82.54 | 5 |

a = 6.612 Å, b = 6.612 Å, c = 6.612 Å
α = 60.00°, β = 60.00°, γ = 60.00°
Sites, in units of the cell vectors:
Sb 0.000 0.000 0.000
Sb 0.000 0.000 0.500
Sb 0.000 0.500 0.000
Sb 0.000 0.500 0.500
Sb 0.500 0.000 0.000
Sb 0.500 0.000 0.500
Sb 0.500 0.500 0.000
Pt 0.500 0.500 0.500

***

9.
SbPtSe: theoretical powder diffractogram (λ = 1.5418 Å (Cu Kα)), based on a structure optimized by DFT (PBE).
Lines closer than 0.1° are merged.

Largest 12 diffraction maxima, sorted by position, 2θ = 15–90°:
| 2θ (°) | I/Imax |
| --- | --- |
| 23.98 | 39 |
| 27.76 | 60 |
| 31.11 | 46 |
| 34.17 | 36 |
| 39.66 | 44 |
| 46.88 | 100 |
| 49.10 | 17 |
| 53.33 | 20 |
| 64.87 | 19 |
| 71.97 | 15 |
| 77.10 | 32 |
| 85.44 | 20 |

a = 6.428 Å, b = 6.428 Å, c = 6.428 Å
α = 90.00°, β = 90.00°, γ = 90.00°
Sites, in units of the cell vectors:
Sb 0.125 0.125 0.125
Sb 0.375 0.875 0.625
Sb 0.625 0.375 0.875
Sb 0.875 0.625 0.375
Pt 0.249 0.251 0.749
Pt 0.251 0.749 0.249
Pt 0.749 0.249 0.251
Pt 0.751 0.751 0.751
Se 0.131 0.631 0.869
Se 0.369 0.369 0.369
Se 0.631 0.869 0.131
Se 0.869 0.131 0.631

***

10.
Sm4Sb2Pt: theoretical powder diffractogram (λ = 1.5418 Å (Cu Kα)), based on a structure optimized by DFT (PBE).
Lines closer than 0.1° are merged.

Largest 12 diffraction maxima, sorted by position, 2θ = 15–90°:
| 2θ (°) | I/Imax |
| --- | --- |
| 26.75 | 100 |
| 27.03 | 40 |
| 27.34 | 38 |
| 34.54 | 81 |
| 35.03 | 78 |
| 35.38 | 18 |
| 41.59 | 38 |
| 41.95 | 66 |
| 45.05 | 18 |
| 50.47 | 18 |
| 55.12 | 24 |
| 71.37 | 20 |

a = 8.225 Å, b = 8.225 Å, c = 7.443 Å
α = 115.54°, β = 115.54°, γ = 30.61°
Sites, in units of the cell vectors:
Sm 0.116 0.116 0.432
Sm 0.382 0.382 0.020
Sm 0.618 0.618 0.980
Sm 0.884 0.884 0.568
Sb 0.266 0.266 0.267
Sb 0.734 0.734 0.733
Pt 0.000 0.000 0.000

***

11.
Sm8Sb2Pt3: theoretical powder diffractogram (λ = 1.5418 Å (Cu Kα)), based on a structure optimized by DFT (PBE).
Lines closer than 0.1° are merged.

Largest 12 diffraction maxima, sorted by position, 2θ = 15–90°:
| 2θ (°) | I/Imax |
| --- | --- |
| 19.08 | 17 |
| 26.29 | 51 |
| 31.73 | 49 |
| 31.88 | 100 |
| 37.11 | 31 |
| 37.55 | 15 |
| 44.04 | 24 |
| 44.31 | 46 |
| 46.87 | 24 |
| 47.34 | 20 |
| 55.30 | 20 |
| 66.64 | 15 |

a = 9.003 Å, b = 9.003 Å, c = 7.068 Å
α = 104.60°, β = 104.60°, γ = 54.36°
Sites, in units of the cell vectors:
Sm 0.092 0.092 0.369
Sm 0.146 0.638 0.098
Sm 0.362 0.854 0.902
Sm 0.400 0.400 0.593
Sm 0.600 0.600 0.407
Sm 0.638 0.146 0.098
Sm 0.854 0.362 0.902
Sm 0.908 0.908 0.631
Sb 0.246 0.246 0.165
Sb 0.754 0.754 0.835
Pt 0.246 0.754 0.500
Pt 0.500 0.500 0.000
Pt 0.754 0.246 0.500

***

12.
Sr2SmSb4Pt3: theoretical powder diffractogram (λ = 1.5418 Å (Cu Kα)), based on a structure optimized by DFT (PBE).
Lines closer than 0.1° are merged.

Largest 12 diffraction maxima, sorted by position, 2θ = 15–90°:
| 2θ (°) | I/Imax |
| --- | --- |
| 20.40 | 34 |
| 28.00 | 14 |
| 29.45 | 46 |
| 30.91 | 100 |
| 38.51 | 80 |
| 40.70 | 66 |
| 42.47 | 22 |
| 49.21 | 22 |
| 55.60 | 27 |
| 58.66 | 17 |
| 64.98 | 23 |
| 71.15 | 26 |

a = 4.675 Å, b = 4.675 Å, c = 11.954 Å
α = 90.00°, β = 90.00°, γ = 90.00°
Sites, in units of the cell vectors:
Sr 0.000 0.500 0.233
Sr 0.500 0.000 0.767
Sm 0.000 0.000 0.500
Sb 0.000 0.000 0.000
Sb 0.000 0.500 0.658
Sb 0.500 0.000 0.342
Sb 0.500 0.500 0.000
Pt 0.000 0.500 0.883
Pt 0.500 0.000 0.117
Pt 0.500 0.500 0.500